For KAlCl4, a crystal structure in Alexandria, relaxed with PBE gives the computed X-ray powder pattern in this record (Cu Kα, 1.54184 Å).
Intensities are scaled so that the largest is 100.

Peak list (10 most intense, 10 to 90 degrees two-theta, in order of rising 2θ)
| d [Å] | Position (°2θ) | intensity | index |
| --- | --- | --- | --- |
| 5.008 | 17.71 | 100 | 2 0 0 |
| 3.925 | 22.65 | 23 | 2 1 1 |
| 3.532 | 25.21 | 14 | 1 1 2 |
| 3.161 | 28.24 | 64 | 2 0 2 |
| 3.089 | 28.90 | 51 | 3 0 1 |
| 2.626 | 34.14 | 56 | 1 0 3 |
| 2.502 | 35.90 | 61 | 4 0 0 |
| 2.043 | 44.35 | 25 | 3 3 2 |
| 1.944 | 46.74 | 27 | 4 3 1 |
| 1.669 | 55.01 | 16 | 6 0 0 |

```
data_KAlCl4
_cell_length_a 10.0150
_cell_length_b 10.0150
_cell_length_c 8.1497
_cell_angle_alpha 90.00
_cell_angle_beta 90.00
_cell_angle_gamma 90.00
_space_group_name_H-M_alt 'I 41/a m d'
_space_group_IT_number 141
loop_
_space_group_symop_operation_xyz
'x,y,z'
'-x,-y,-z'
'-y+1/4,x+3/4,z+1/4'
'y+1/4,-x+3/4,-z+1/4'
'-x+1/2,-y,z+1/2'
'x+1/2,y,-z+1/2'
'y+1/4,-x+1/4,z+3/4'
'-y+1/4,x+1/4,-z+3/4'
'x,-y,-z'
'-x,y,z'
'-y+1/4,-x+1/4,-z+3/4'
'y+1/4,x+1/4,z+3/4'
'-x+1/2,y,-z+1/2'
'x+1/2,-y,z+1/2'
'y+1/4,x+3/4,-z+1/4'
'-y+1/4,-x+3/4,z+1/4'
'x+1/2,y+1/2,z+1/2'
'-x+1/2,-y+1/2,-z+1/2'
'-y+3/4,x+1/4,z+3/4'
'y+3/4,-x+1/4,-z+3/4'
'-x,-y+1/2,z'
'x,y+1/2,-z'
'y+3/4,-x+3/4,z+1/4'
'-y+3/4,x+3/4,-z+1/4'
'x+1/2,-y+1/2,-z+1/2'
'-x+1/2,y+1/2,z+1/2'
'-y+3/4,-x+3/4,-z+1/4'
'y+3/4,x+3/4,z+1/4'
'-x,y+1/2,-z'
'x,-y+1/2,z'
'y+3/4,x+1/4,-z+3/4'
'-y+3/4,-x+1/4,z+3/4'
loop_
_atom_site_label
_atom_site_type_symbol
_atom_site_fract_x
_atom_site_fract_y
_atom_site_fract_z
K1 K 0.0000 0.2500 0.3750
Al1 Al 0.0000 0.2500 0.8750
Cl1 Cl 0.0000 0.0771 0.7162
```

***

For K6Na3Ti2Al2Si8Cl3O26, a crystal structure in Alexandria, relaxed with PBE gives the computed X-ray powder pattern in this record (Cu Kα, 1.54184 Å).
Intensities are scaled so that the largest is 100.

Peak list (10 most intense, 10 to 90 degrees two-theta, in order of rising 2θ)
| d [Å] | Position (°2θ) | intensity | index |
| --- | --- | --- | --- |
| 8.246 | 10.73 | 91 | 0 1 -1 |
| 3.524 | 25.27 | 38 | 2 0 -2 |
| 3.196 | 27.92 | 41 | 0 1 -3 |
| 3.082 | 28.97 | 90 | 2 2 -1 |
| 3.064 | 29.14 | 74 | -2 1 2 |
| 2.938 | 30.43 | 62 | 1 -3 0 |
| 2.923 | 30.59 | 60 | -3 1 1 |
| 2.884 | 31.01 | 54 | 1 3 -2 |
| 2.858 | 31.29 | 100 | 1 3 -1 |
| 2.794 | 32.04 | 45 | 2 2 0 |

```
data_K6Na3Ti2Al2Si8Cl3O26
_cell_length_a 9.2367
_cell_length_b 9.7745
_cell_length_c 9.7746
_cell_angle_alpha 115.05
_cell_angle_beta 98.22
_cell_angle_gamma 98.29
_space_group_name_H-M_alt 'P -1'
_space_group_IT_number 2
_space_group_name_Hall '-P 1'
loop_
_atom_site_label
_atom_site_type_symbol
_atom_site_fract_x
_atom_site_fract_y
_atom_site_fract_z
K1 K 0.1066 0.3507 0.0678
K2 K 0.1078 0.0678 0.3503
K3 K 0.3528 0.0976 0.0944
Na1 Na 0.0000 0.5000 0.5000
Na2 Na 0.5001 0.3831 0.6168
Ti1 Ti 0.5000 0.0000 0.5000
Ti2 Ti 0.5000 0.5000 0.0000
Al1 Al 0.0000 0.3160 0.6836
Si1 Si 0.2649 0.6280 0.8237
Si2 Si 0.2647 0.8237 0.6280
Si3 Si 0.2764 0.1615 0.7359
Si4 Si 0.2767 0.7362 0.1616
Cl1 Cl 0.0000 0.0000 0.0000
Cl2 Cl 0.2775 0.3789 0.3785
O1 O 0.1023 0.5052 0.7376
O2 O 0.1019 0.7377 0.5056
O3 O 0.1088 0.1808 0.6742
O4 O 0.1091 0.6747 0.1813
O5 O 0.2524 0.7541 0.9975
O6 O 0.2524 0.9976 0.7541
O7 O 0.2992 0.7325 0.7325
O8 O 0.3521 0.2983 0.9104
O9 O 0.3527 0.9106 0.2982
O10 O 0.3693 0.1380 0.6002
O11 O 0.3694 0.6004 0.1379
O12 O 0.4033 0.5462 0.8354
O13 O 0.4027 0.8352 0.5455
```

***

For KAl2NiCl8, a crystal structure in Alexandria, relaxed with PBE gives the computed X-ray powder pattern in this record (Cu Kα, 1.54184 Å).
Intensities are scaled so that the largest is 100.

Peak list (10 most intense, 10 to 90 degrees two-theta, in order of rising 2θ)
| d [Å] | Position (°2θ) | intensity | index |
| --- | --- | --- | --- |
| 5.344 | 16.59 | 23 | 1 0 1 |
| 4.295 | 20.68 | 84 | 1 0 4 |
| 3.144 | 28.39 | 24 | 1 1 0 |
| 3.106 | 28.74 | 37 | 0 0 9 |
| 2.979 | 30.00 | 94 | 2 -1 3 |
| 2.606 | 34.41 | 100 | 1 1 6 |
| 1.974 | 45.97 | 16 | 2 1 4 |
| 1.872 | 48.65 | 55 | 2 -1 12 |
| 1.815 | 50.27 | 54 | 3 0 0 |
| 1.567 | 58.94 | 21 | 3 0 9 |

```
data_KAl2NiCl8
_cell_length_a 6.2872
_cell_length_b 6.2872
_cell_length_c 27.9566
_cell_angle_alpha 90.00
_cell_angle_beta 90.00
_cell_angle_gamma 120.00
_space_group_name_H-M_alt 'R -3'
_space_group_IT_number 148
_space_group_name_Hall '-R 3'
loop_
_atom_site_label
_atom_site_type_symbol
_atom_site_fract_x
_atom_site_fract_y
_atom_site_fract_z
K1 K 0.0000 0.0000 0.0000
Al1 Al 0.0000 0.0000 0.2431
Ni1 Ni 0.0000 0.0000 0.5000
Cl1 Cl 0.0000 0.0000 0.3205
Cl2 Cl 0.0030 0.3469 0.1127
```

***

For K4Al3Si3ClO12, a crystal structure in Alexandria, relaxed with PBE gives the computed X-ray powder pattern in this record (Cu Kα, 1.54184 Å).
Intensities are scaled so that the largest is 100.

Peak list (10 most intense, 10 to 90 degrees two-theta, in order of rising 2θ)
| d [Å] | Position (°2θ) | intensity | index |
| --- | --- | --- | --- |
| 6.626 | 13.36 | 20 | 1 1 0 |
| 3.826 | 23.25 | 100 | 2 1 1 |
| 2.963 | 30.16 | 17 | 3 1 0 |
| 2.705 | 33.12 | 14 | 2 2 2 |
| 2.504 | 35.86 | 20 | 3 2 1 |
| 2.209 | 40.86 | 57 | 3 3 0 |
| 1.562 | 59.16 | 17 | 6 0 0 |
| 1.520 | 60.95 | 15 | 5 3 2 |
| 1.353 | 69.50 | 6 | 4 4 4 |
| 1.275 | 74.39 | 20 | 6 3 3 |

```
data_K4Al3Si3ClO12
_cell_length_a 9.3708
_cell_length_b 9.3708
_cell_length_c 9.3708
_cell_angle_alpha 90.00
_cell_angle_beta 90.00
_cell_angle_gamma 90.00
_space_group_name_H-M_alt 'P -4 3 n'
_space_group_IT_number 218
_space_group_name_Hall 'P -4n 2 3'
loop_
_atom_site_label
_atom_site_type_symbol
_atom_site_fract_x
_atom_site_fract_y
_atom_site_fract_z
K1 K 0.1847 0.1847 0.1847
Al1 Al 0.0000 0.2500 0.5000
Si1 Si 0.0000 0.5000 0.2500
Cl1 Cl 0.0000 0.0000 0.0000
O1 O 0.0203 0.3557 0.6535
```

***

Please write out number 4 again, unchanged.
For K4Al3Si3ClO12, a crystal structure in Alexandria, relaxed with PBE gives the computed X-ray powder pattern in this record (Cu Kα, 1.54184 Å).
Intensities are scaled so that the largest is 100.

Peak list (10 most intense, 10 to 90 degrees two-theta, in order of rising 2θ)
| d [Å] | Position (°2θ) | intensity | index |
| --- | --- | --- | --- |
| 6.626 | 13.36 | 20 | 1 1 0 |
| 3.826 | 23.25 | 100 | 2 1 1 |
| 2.963 | 30.16 | 17 | 3 1 0 |
| 2.705 | 33.12 | 14 | 2 2 2 |
| 2.504 | 35.86 | 20 | 3 2 1 |
| 2.209 | 40.86 | 57 | 3 3 0 |
| 1.562 | 59.16 | 17 | 6 0 0 |
| 1.520 | 60.95 | 15 | 5 3 2 |
| 1.353 | 69.50 | 6 | 4 4 4 |
| 1.275 | 74.39 | 20 | 6 3 3 |

```
data_K4Al3Si3ClO12
_cell_length_a 9.3708
_cell_length_b 9.3708
_cell_length_c 9.3708
_cell_angle_alpha 90.00
_cell_angle_beta 90.00
_cell_angle_gamma 90.00
_space_group_name_H-M_alt 'P -4 3 n'
_space_group_IT_number 218
_space_group_name_Hall 'P -4n 2 3'
loop_
_atom_site_label
_atom_site_type_symbol
_atom_site_fract_x
_atom_site_fract_y
_atom_site_fract_z
K1 K 0.1847 0.1847 0.1847
Al1 Al 0.0000 0.2500 0.5000
Si1 Si 0.0000 0.5000 0.2500
Cl1 Cl 0.0000 0.0000 0.0000
O1 O 0.0203 0.3557 0.6535
```

***

What did the second record say?
For K6Na3Ti2Al2Si8Cl3O26, a crystal structure in Alexandria, relaxed with PBE gives the computed X-ray powder pattern in this record (Cu Kα, 1.54184 Å).
Intensities are scaled so that the largest is 100.

Peak list (10 most intense, 10 to 90 degrees two-theta, in order of rising 2θ)
| d [Å] | Position (°2θ) | intensity | index |
| --- | --- | --- | --- |
| 8.246 | 10.73 | 91 | 0 1 -1 |
| 3.524 | 25.27 | 38 | 2 0 -2 |
| 3.196 | 27.92 | 41 | 0 1 -3 |
| 3.082 | 28.97 | 90 | 2 2 -1 |
| 3.064 | 29.14 | 74 | -2 1 2 |
| 2.938 | 30.43 | 62 | 1 -3 0 |
| 2.923 | 30.59 | 60 | -3 1 1 |
| 2.884 | 31.01 | 54 | 1 3 -2 |
| 2.858 | 31.29 | 100 | 1 3 -1 |
| 2.794 | 32.04 | 45 | 2 2 0 |

```
data_K6Na3Ti2Al2Si8Cl3O26
_cell_length_a 9.2367
_cell_length_b 9.7745
_cell_length_c 9.7746
_cell_angle_alpha 115.05
_cell_angle_beta 98.22
_cell_angle_gamma 98.29
_space_group_name_H-M_alt 'P -1'
_space_group_IT_number 2
_space_group_name_Hall '-P 1'
loop_
_atom_site_label
_atom_site_type_symbol
_atom_site_fract_x
_atom_site_fract_y
_atom_site_fract_z
K1 K 0.1066 0.3507 0.0678
K2 K 0.1078 0.0678 0.3503
K3 K 0.3528 0.0976 0.0944
Na1 Na 0.0000 0.5000 0.5000
Na2 Na 0.5001 0.3831 0.6168
Ti1 Ti 0.5000 0.0000 0.5000
Ti2 Ti 0.5000 0.5000 0.0000
Al1 Al 0.0000 0.3160 0.6836
Si1 Si 0.2649 0.6280 0.8237
Si2 Si 0.2647 0.8237 0.6280
Si3 Si 0.2764 0.1615 0.7359
Si4 Si 0.2767 0.7362 0.1616
Cl1 Cl 0.0000 0.0000 0.0000
Cl2 Cl 0.2775 0.3789 0.3785
O1 O 0.1023 0.5052 0.7376
O2 O 0.1019 0.7377 0.5056
O3 O 0.1088 0.1808 0.6742
O4 O 0.1091 0.6747 0.1813
O5 O 0.2524 0.7541 0.9975
O6 O 0.2524 0.9976 0.7541
O7 O 0.2992 0.7325 0.7325
O8 O 0.3521 0.2983 0.9104
O9 O 0.3527 0.9106 0.2982
O10 O 0.3693 0.1380 0.6002
O11 O 0.3694 0.6004 0.1379
O12 O 0.4033 0.5462 0.8354
O13 O 0.4027 0.8352 0.5455
```